Record 1
Structure and theoretical powder diffractogram of PrDyBe2Pd5 (a GGA-PBE-relaxed structure; Cu Kα (weighted mean of Kα1 and Kα2)).
Peak positions follow from Bragg's law for the DFT cell and can differ from measured ones.

Cell: 4.088 4.088 9.113 Å, 90.00 90.00 90.00°
Fractional coordinates of all 9 atoms:
Pr 0.000 0.000 0.000
Dy 0.000 0.000 0.500
Be 0.500 0.500 0.369
Be 0.500 0.500 0.631
Pd 0.000 0.500 0.250
Pd 0.000 0.500 0.750
Pd 0.500 0.000 0.250
Pd 0.500 0.000 0.750
Pd 0.500 0.500 0.000

Largest 10 diffraction maxima, low angle first, 15° ≤ 2θ ≤ 90°:
2θ/deg	Rel. int.
21.74	8
29.35	10
36.82	100
39.56	19
44.31	30
60.89	22
64.47	10
69.97	15
76.61	23
78.34	10

Record 2
Structure and theoretical powder diffractogram of DyBe2Pt2 (a GGA-PBE-relaxed structure; Cu Kα (weighted mean of Kα1 and Kα2)).
Peak positions follow from Bragg's law for the DFT cell and can differ from measured ones.

Cell: 5.753 5.517 4.058 Å, 72.05 65.82 42.14°
Fractional coordinates of all 5 atoms:
Dy 0.000 0.000 0.000
Be 0.250 0.250 0.250
Be 0.750 0.750 0.750
Pt 0.360 0.360 0.640
Pt 0.640 0.640 0.360

Largest 10 diffraction maxima, low angle first, 15° ≤ 2θ ≤ 90°:
2θ/deg	Rel. int.
28.87	50
34.13	32
35.69	100
45.30	32
52.40	11
55.69	28
59.84	10
62.12	20
77.34	11
86.17	12

Record 3
Structure and theoretical powder diffractogram of Dy2BeSiPt6 (a GGA-PBE-relaxed structure; Cu Kα (weighted mean of Kα1 and Kα2)).
Peak positions follow from Bragg's law for the DFT cell and can differ from measured ones.

Cell: 6.368 6.368 6.368 Å, 125.95 113.91 90.43°
Fractional coordinates of all 10 atoms:
Dy 0.228 0.228 0.000
Dy 0.772 0.772 0.000
Be 0.500 0.000 0.500
Si 0.000 0.500 0.500
Pt 0.257 0.757 0.500
Pt 0.277 0.260 0.538
Pt 0.277 0.740 0.017
Pt 0.723 0.260 0.983
Pt 0.723 0.740 0.462
Pt 0.743 0.243 0.500

Largest 10 diffraction maxima, low angle first, 15° ≤ 2θ ≤ 90°:
2θ/deg	Rel. int.
32.61	100
36.97	74
40.21	36
40.59	61
52.72	12
58.45	39
66.13	21
68.31	22
74.07	19
78.71	10

Record 4
Structure and theoretical powder diffractogram of Dy2BeSnPt6 (a GGA-PBE-relaxed structure; Cu Kα (weighted mean of Kα1 and Kα2)).
Peak positions follow from Bragg's law for the DFT cell and can differ from measured ones.

Cell: 8.511 8.511 8.511 Å, 38.23 38.23 38.23°
Fractional coordinates of all 10 atoms:
Dy 0.200 0.200 0.200
Dy 0.800 0.800 0.800
Be 0.500 0.500 0.500
Sn 0.000 0.000 0.000
Pt 0.244 0.738 0.738
Pt 0.262 0.262 0.756
Pt 0.262 0.756 0.262
Pt 0.738 0.244 0.738
Pt 0.738 0.738 0.244
Pt 0.756 0.262 0.262

Largest 10 diffraction maxima, low angle first, 15° ≤ 2θ ≤ 90°:
2θ/deg	Rel. int.
19.87	20
22.57	56
38.05	100
39.61	37
40.36	95
42.03	28
42.59	26
46.24	20
48.71	24
67.17	30

Record 5
Structure and theoretical powder diffractogram of DyTiBe2Pt5 (a GGA-PBE-relaxed structure; Cu Kα (weighted mean of Kα1 and Kα2)).
Peak positions follow from Bragg's law for the DFT cell and can differ from measured ones.

Cell: 4.394 4.394 7.273 Å, 90.00 90.00 90.00°
Fractional coordinates of all 9 atoms:
Dy 0.000 0.000 0.000
Ti 0.000 0.000 0.500
Be 0.500 0.500 0.339
Be 0.500 0.500 0.661
Pt 0.000 0.500 0.283
Pt 0.000 0.500 0.717
Pt 0.500 0.000 0.283
Pt 0.500 0.000 0.717
Pt 0.500 0.500 0.000

Largest 10 diffraction maxima, low angle first, 15° ≤ 2θ ≤ 90°:
2θ/deg	Rel. int.
28.73	11
31.31	29
37.08	13
38.09	100
41.08	47
56.53	16
59.50	16
66.78	13
71.63	13
72.87	30

Record 6
Structure and theoretical powder diffractogram of Dy2BeRh (a GGA-PBE-relaxed structure; Cu Kα (weighted mean of Kα1 and Kα2)).
Peak positions follow from Bragg's law for the DFT cell and can differ from measured ones.

Cell: 6.854 6.854 6.854 Å, 90.00 90.00 90.00°
Fractional coordinates of all 16 atoms:
Dy 0.250 0.250 0.250
Dy 0.250 0.250 0.750
Dy 0.250 0.750 0.250
Dy 0.250 0.750 0.750
Dy 0.750 0.250 0.250
Dy 0.750 0.250 0.750
Dy 0.750 0.750 0.250
Dy 0.750 0.750 0.750
Be 0.000 0.000 0.000
Be 0.000 0.500 0.500
Be 0.500 0.000 0.500
Be 0.500 0.500 0.000
Rh 0.000 0.000 0.500
Rh 0.000 0.500 0.000
Rh 0.500 0.000 0.000
Rh 0.500 0.500 0.500

Largest 10 diffraction maxima, low angle first, 15° ≤ 2θ ≤ 90°:
2θ/deg	Rel. int.
22.47	13
26.00	29
37.10	100
43.81	7
45.86	9
53.48	17
60.40	12
66.88	35
79.03	11
84.89	6

Record 7
Structure and theoretical powder diffractogram of DyBe9Rh2 (a GGA-PBE-relaxed structure; Cu Kα (weighted mean of Kα1 and Kα2)).
Peak positions follow from Bragg's law for the DFT cell and can differ from measured ones.

Cell: 4.473 4.473 14.270 Å, 90.00 90.00 120.00°
Fractional coordinates of all 24 atoms:
Dy 0.333 0.667 0.250
Dy 0.667 0.333 0.750
Be 0.000 0.000 0.000
Be 0.000 0.000 0.250
Be 0.000 0.000 0.500
Be 0.000 0.000 0.750
Be 0.170 0.340 0.617
Be 0.170 0.340 0.883
Be 0.170 0.830 0.617
Be 0.170 0.830 0.883
Be 0.333 0.667 0.750
Be 0.340 0.170 0.117
Be 0.340 0.170 0.383
Be 0.660 0.830 0.617
Be 0.660 0.830 0.883
Be 0.667 0.333 0.250
Be 0.830 0.170 0.117
Be 0.830 0.170 0.383
Be 0.830 0.660 0.117
Be 0.830 0.660 0.383
Rh 0.333 0.667 0.040
Rh 0.333 0.667 0.460
Rh 0.667 0.333 0.540
Rh 0.667 0.333 0.960

Largest 10 diffraction maxima, low angle first, 15° ≤ 2θ ≤ 90°:
2θ/deg	Rel. int.
22.96	55
23.80	100
24.96	33
34.17	24
39.21	92
40.33	62
47.37	22
48.02	48
57.51	26
72.57	29

Record 8
Structure and theoretical powder diffractogram of Dy2BeSiRh6 (a GGA-PBE-relaxed structure; Cu Kα (weighted mean of Kα1 and Kα2)).
Peak positions follow from Bragg's law for the DFT cell and can differ from measured ones.

Cell: 6.153 6.153 6.153 Å, 120.06 119.91 90.03°
Fractional coordinates of all 10 atoms:
Dy 0.250 0.250 0.000
Dy 0.750 0.750 0.000
Be 0.500 0.000 0.500
Si 0.000 0.500 0.500
Rh 0.257 0.242 0.500
Rh 0.257 0.758 0.015
Rh 0.258 0.758 0.500
Rh 0.742 0.242 0.500
Rh 0.743 0.242 0.985
Rh 0.743 0.758 0.500

Largest 10 diffraction maxima, low angle first, 15° ≤ 2θ ≤ 90°:
2θ/deg	Rel. int.
29.02	6
35.74	100
41.51	57
51.44	3
60.13	31
60.21	6
71.95	25
72.01	12
75.65	6
75.78	6

Record 9
Structure and theoretical powder diffractogram of Dy2Be2ZnRh5 (a GGA-PBE-relaxed structure; Cu Kα (weighted mean of Kα1 and Kα2)).
Peak positions follow from Bragg's law for the DFT cell and can differ from measured ones.

Cell: 9.597 9.597 3.245 Å, 90.00 90.00 90.00°
Fractional coordinates of all 20 atoms:
Dy 0.177 0.323 0.000
Dy 0.323 0.823 0.000
Dy 0.677 0.177 0.000
Dy 0.823 0.677 0.000
Be 0.122 0.622 0.000
Be 0.378 0.122 0.000
Be 0.622 0.878 0.000
Be 0.878 0.378 0.000
Zn 0.000 0.000 0.000
Zn 0.500 0.500 0.000
Rh 0.000 0.500 0.500
Rh 0.068 0.788 0.500
Rh 0.212 0.068 0.500
Rh 0.288 0.568 0.500
Rh 0.432 0.288 0.500
Rh 0.500 0.000 0.500
Rh 0.568 0.712 0.500
Rh 0.712 0.432 0.500
Rh 0.788 0.932 0.500
Rh 0.932 0.212 0.500

Largest 10 diffraction maxima, low angle first, 15° ≤ 2θ ≤ 90°:
2θ/deg	Rel. int.
34.66	93
38.38	34
38.68	93
39.85	26
40.71	100
42.11	27
44.00	31
56.74	21
69.02	20
70.79	31

Record 10
Structure and theoretical powder diffractogram of Dy5BeS4 (a GGA-PBE-relaxed structure; Cu Kα (weighted mean of Kα1 and Kα2)).
Peak positions follow from Bragg's law for the DFT cell and can differ from measured ones.

Cell: 6.800 6.800 6.800 Å, 99.54 99.54 131.94°
Fractional coordinates of all 10 atoms:
Dy 0.000 0.000 0.000
Dy 0.205 0.598 0.804
Dy 0.402 0.205 0.607
Dy 0.598 0.795 0.393
Dy 0.795 0.402 0.196
Be 0.500 0.500 0.000
S 0.097 0.303 0.400
S 0.303 0.903 0.206
S 0.697 0.097 0.794
S 0.903 0.697 0.600

Largest 10 diffraction maxima, low angle first, 15° ≤ 2θ ≤ 90°:
2θ/deg	Rel. int.
27.85	100
32.23	70
32.33	35
46.28	76
54.83	32
54.96	16
57.54	26
74.58	13
76.76	22
85.73	17

Record 11
Structure and theoretical powder diffractogram of DyScBe17 (a GGA-PBE-relaxed structure; Cu Kα (weighted mean of Kα1 and Kα2)).
Peak positions follow from Bragg's law for the DFT cell and can differ from measured ones.

Cell: 5.751 5.751 5.751 Å, 83.03 83.03 83.03°
Fractional coordinates of all 19 atoms:
Dy 0.000 0.000 0.000
Sc 0.677 0.677 0.677
Be 0.055 0.342 0.622
Be 0.055 0.622 0.342
Be 0.184 0.678 0.678
Be 0.245 0.245 0.245
Be 0.340 0.340 0.839
Be 0.340 0.839 0.340
Be 0.342 0.055 0.622
Be 0.342 0.622 0.055
Be 0.437 0.437 0.437
Be 0.498 0.998 0.998
Be 0.622 0.055 0.342
Be 0.622 0.342 0.055
Be 0.678 0.184 0.678
Be 0.678 0.678 0.184
Be 0.839 0.340 0.340
Be 0.998 0.498 0.998
Be 0.998 0.998 0.498

Largest 10 diffraction maxima, low angle first, 15° ≤ 2θ ≤ 90°:
2θ/deg	Rel. int.
15.62	100
20.91	52
23.34	78
24.04	24
28.20	31
33.75	77
36.92	31
39.60	23
41.01	27
48.10	40

Record 12
Structure and theoretical powder diffractogram of Dy3BeSi3 (a GGA-PBE-relaxed structure; Cu Kα (weighted mean of Kα1 and Kα2)).
Peak positions follow from Bragg's law for the DFT cell and can differ from measured ones.

Cell: 3.845 4.179 17.339 Å, 90.00 90.00 90.00°
Fractional coordinates of all 14 atoms:
Dy 0.000 0.000 0.000
Dy 0.000 0.000 0.368
Dy 0.000 0.500 0.683
Dy 0.500 0.000 0.183
Dy 0.500 0.500 0.500
Dy 0.500 0.500 0.868
Be 0.000 0.500 0.116
Be 0.500 0.000 0.616
Si 0.000 0.000 0.548
Si 0.000 0.000 0.827
Si 0.000 0.500 0.242
Si 0.500 0.000 0.742
Si 0.500 0.500 0.048
Si 0.500 0.500 0.327

Largest 10 diffraction maxima, low angle first, 15° ≤ 2θ ≤ 90°:
2θ/deg	Rel. int.
21.88	39
27.87	74
30.94	32
33.31	100
33.58	64
37.98	25
52.28	27
53.22	36
59.23	25
63.03	24